Record 1
Diffraction record for Cu3Pd4Au. The powder XRD pattern is computed, not measured: it uses a GGA-PBE-relaxed structure and Cu Kα (weighted mean of Kα1 and Kα2).

The 10 most intense peaks (15° ≤ 2θ ≤ 90°), in order of rising 2θ:
Position (°2θ)  I_rel  index
38.6  10.6  0 0 2
38.8  21.1  1 2 1
40.0  14.5  1 0 2
40.3  42.5  4 0 0
42.7  100.0  2 2 1
43.8  31.3  2 0 2
48.7  12.1  3 2 1
69.1  15.4  0 2 3
74.9  18.5  6 2 1
83.2  27.8  4 2 3

Crystal structure
a = 8.9499 Å, b = 5.6091 Å, c = 4.6596 Å
α = 90.00°, β = 90.00°, γ = 90.00°
Space group Pmma (No. 51)
Symmetry-distinct sites (fractional):
1 Cu 0.0000 0.0000 0.0000 (multiplicity 2)
2 Cu 0.2500 0.0000 0.3504 (multiplicity 2)
3 Cu 0.2500 0.5000 0.3569 (multiplicity 2)
4 Pd 0.0000 0.2416 0.5000 (multiplicity 4)
5 Pd 0.2500 0.2435 0.8553 (multiplicity 4)
6 Au 0.0000 0.5000 0.0000 (multiplicity 2)


Record 2
Diffraction record for Ac2Zn2Au5. The powder XRD pattern is computed, not measured: it uses a GGA-PBE-relaxed structure and Cu Kα (weighted mean of Kα1 and Kα2).

The 10 most intense peaks (15° ≤ 2θ ≤ 90°), in order of rising 2θ:
Position (°2θ)  I_rel  index
26.9  5.9  1 0 2
33.0  100.0  1 1 2
38.0  43.2  2 0 0
38.8  13.3  0 0 4
39.7  6.8  1 1 3
54.8  15.1  2 2 0
55.4  19.3  2 0 4
65.5  28.7  3 1 2
66.6  14.2  1 1 6
69.2  10.1  2 2 4

Crystal structure
a = 4.7374 Å, b = 4.7374 Å, c = 9.2807 Å
α = 90.00°, β = 90.00°, γ = 90.00°
Space group P4/mmm (No. 123)
Symmetry-distinct sites (fractional):
1 Ac 0.0000 0.0000 0.0000 (multiplicity 1)
2 Ac 0.0000 0.0000 0.5000 (multiplicity 1)
3 Zn 0.5000 0.5000 0.1366 (multiplicity 2)
4 Au 0.0000 0.5000 0.2601 (multiplicity 4)
5 Au 0.5000 0.5000 0.5000 (multiplicity 1)


Record 3
Diffraction record for HoTmSe2O. The powder XRD pattern is computed, not measured: it uses a GGA-PBE-relaxed structure and Cu Kα (weighted mean of Kα1 and Kα2).

The 10 most intense peaks (15° ≤ 2θ ≤ 90°), in order of rising 2θ:
Position (°2θ)  I_rel  index
24.7  25.5  0 0 4
25.8  47.8  1 0 2
29.4  31.3  1 0 3
32.2  100.0  1 1 0
33.7  19.3  1 0 4
38.7  46.2  1 0 5
41.0  34.9  1 1 4
46.2  41.8  2 0 0
61.8  23.5  2 1 5
76.7  23.6  3 1 0

Crystal structure
a = 3.9298 Å, b = 3.9298 Å, c = 14.4167 Å
α = 90.00°, β = 90.00°, γ = 90.00°
Space group P4/nmm (No. 129, origin choice 2)
Symmetry-distinct sites (fractional):
1 Ho 0.2500 0.2500 0.0757 (multiplicity 2)
2 Tm 0.2500 0.2500 0.6279 (multiplicity 2)
3 Se 0.2500 0.2500 0.4124 (multiplicity 2)
4 Se 0.2500 0.2500 0.8081 (multiplicity 2)
5 O 0.2500 0.7500 0.0000 (multiplicity 2)